Diffraction record for Ac5Pm2Pr. The PXRD pattern is computed, not measured: it uses a GGA-PBE-relaxed structure and Cu Kα X-rays.

Atomic structure:
a = 7.7090 Å, b = 15.4143 Å, c = 5.5197 Å
α = 90.00°, β = 90.00°, γ = 90.00°
Space group Pbam (No. 55)
Symmetry-distinct sites (fractional):
Ac: 0.0000 0.0000 0.0000 x2
Ac: 0.0071 0.2526 0.0000 x4
Ac: 0.2437 0.6223 0.5000 x4
Pm: 0.2458 0.8757 0.5000 x4
Pr: 0.0000 0.5000 0.0000 x2

Main lines, low angle first (5° ≤ 2θ ≤ 70°):
d (Å)  I_rel
3.160  1000
2.760  176
2.725  337
1.939  256
1.660  158
1.645  302